Starting from a PBE+U-relaxed structure, the PXRD pattern of Li2FeSi6O15 was simulated for a wavelength of 1.5418 Å.
Neutral-atom scattering factors, no anomalous dispersion.

Peak list (10 most intense, 5° ≤ 2θ ≤ 70°, sorted by position)
13.9 deg, I = 58.4
15.3 deg, I = 100.0
18.9 deg, I = 96.9
21.9 deg, I = 75.8
24.6 deg, I = 43.9
25.7 deg, I = 75.9
26.4 deg, I = 44.4
26.5 deg, I = 75.3
27.8 deg, I = 82.4
31.9 deg, I = 69.1

Atomic structure:
```
data_Li2FeSi6O15
_symmetry_space_group_name_H-M 'P 1 21 1'
_symmetry_Int_Tables_number 4
_cell_length_a 6.9978
_cell_length_b 12.7009
_cell_length_c 7.5383
_cell_angle_alpha 90.00
_cell_angle_beta 111.91
_cell_angle_gamma 90.00
loop_
_symmetry_equiv_pos_as_xyz
'x,y,z'
'-x,y+1/2,-z'
loop_
_atom_site_label
_atom_site_type_symbol
_atom_site_fract_x
_atom_site_fract_y
_atom_site_fract_z
Li1 Li 0.1469 0.0000 0.4581
Li2 Li 0.1727 0.1686 0.1627
Fe1 Fe 0.2629 0.5887 0.7519
Si1 Si 0.0016 0.4928 0.0249
Si2 Si 0.0348 0.6716 0.3128
Si3 Si 0.3039 0.8267 0.9106
Si4 Si 0.3073 0.3285 0.7059
Si5 Si 0.4625 0.4972 0.1922
Si6 Si 0.4937 0.6755 0.4760
O1 O 0.0176 0.0306 0.1860
O2 O 0.0417 0.6023 0.4951
O3 O 0.0687 0.1001 0.8843
O4 O 0.0923 0.2817 0.7125
O5 O 0.1478 0.8940 0.9817
O6 O 0.1748 0.7227 0.8096
O7 O 0.2332 0.4551 0.1679
O8 O 0.2640 0.7064 0.3272
O9 O 0.2915 0.4530 0.6620
O10 O 0.3500 0.2705 0.5291
O11 O 0.3663 0.9010 0.7591
O12 O 0.4327 0.0683 0.6109
O13 O 0.4479 0.5628 0.0038
O14 O 0.4860 0.2984 0.9105
O15 O 0.4874 0.1542 0.3076
```